# 1
CsHg2Br5: theoretical powder X-ray diffraction pattern (Cu Kα (λ = 1.5418 Å)), based on DFT lattice parameters and positions (PBE).
Intensities are scaled so that the largest is 100.

Crystal structure
Cell: 8.829 6.506 11.670 Å, 90.00 109.27 90.00°
Space group P2_1/m (No. 11)
Unique sites:
Cs: 0.031 0.250 0.260
Hg: 0.380 0.750 0.563
Hg: 0.449 0.750 0.151
Br: 0.085 0.750 0.437
Br: 0.151 0.750 0.096
Br: 0.275 0.250 0.862
Br: 0.409 0.250 0.564
Br: 0.448 0.250 0.210

Largest 6 diffraction maxima, by intensity, 2θ from 15° to 90°:
(1 1 -2), d = 4.203 Å, 2θ 21.14, I = 100
(0 2 0), d = 3.253 Å, 2θ 27.42, I = 97
(2 0 -2), d = 4.023 Å, 2θ 22.09, I = 48
(4 2 -2), d = 1.825 Å, 2θ 49.98, I = 33
(2 2 -2), d = 2.530 Å, 2θ 35.48, I = 31
(0 0 3), d = 3.672 Å, 2θ 24.24, I = 30



# 2
Cs5HgBr4: theoretical powder X-ray diffraction pattern (Cu Kα (λ = 1.5418 Å)), based on DFT lattice parameters and positions (PBE).
Intensities are scaled so that the largest is 100.

Crystal structure
Cell: 5.287 5.287 37.365 Å, 90.00 90.00 90.00°
Space group I4/mmm (No. 139)
Unique sites:
Cs: 0.000 0.000 0.000
Cs: 0.000 0.000 0.200
Cs: 0.000 0.000 0.396
Hg: 0.000 0.000 0.500
Br: 0.000 0.000 0.102
Br: 0.000 0.000 0.299

Largest 6 diffraction maxima, by intensity, 2θ from 15° to 90°:
(1 1 0), d = 3.738 Å, 2θ 23.80, I = 100
(2 0 0), d = 2.643 Å, 2θ 33.92, I = 79
(3 1 0), d = 1.672 Å, 2θ 54.92, I = 39
(2 0 10), d = 2.158 Å, 2θ 41.86, I = 30
(3 1 10), d = 1.526 Å, 2θ 60.69, I = 29
(3 3 0), d = 1.246 Å, 2θ 76.44, I = 17



# 3
CsHg2Br2: theoretical powder X-ray diffraction pattern (Cu Kα (λ = 1.5418 Å)), based on DFT lattice parameters and positions (PBE).
Intensities are scaled so that the largest is 100.

Crystal structure
Cell: 5.941 5.941 10.588 Å, 90.00 90.00 90.00°
Space group I4/mmm (No. 139)
Unique sites:
Cs: 0.000 0.000 0.000
Hg: 0.000 0.000 0.366
Br: 0.000 0.500 0.250

Largest 6 diffraction maxima, by intensity, 2θ from 15° to 90°:
(2 0 0), d = 2.970 Å, 2θ 30.09, I = 100
(1 0 3), d = 3.034 Å, 2θ 29.44, I = 91
(2 1 3), d = 2.123 Å, 2θ 42.59, I = 68
(1 1 0), d = 4.201 Å, 2θ 21.15, I = 64
(2 2 0), d = 2.100 Å, 2θ 43.07, I = 38
(1 1 4), d = 2.239 Å, 2θ 40.27, I = 34



# 4
Cs2Hg2Br7: theoretical powder X-ray diffraction pattern (Cu Kα (λ = 1.5418 Å)), based on DFT lattice parameters and positions (PBE).
Intensities are scaled so that the largest is 100.

Crystal structure
Cell: 5.919 9.275 9.461 Å, 113.55 100.37 106.07°
Space group P-1 (No. 2)
Unique sites:
Cs: 0.155 0.154 0.310
Hg: 0.336 0.670 0.000
Br: 0.174 0.336 0.999
Br: 0.176 0.536 0.683
Br: 0.494 0.851 0.317
Br: 0.500 0.000 0.000

Largest 6 diffraction maxima, by intensity, 2θ from 15° to 90°:
(-2 1 1), d = 2.910 Å, 2θ 30.73, I = 100
(0 3 -1), d = 2.923 Å, 2θ 30.58, I = 97
(1 1 -1), d = 4.286 Å, 2θ 20.72, I = 76
(0 0 3), d = 2.729 Å, 2θ 32.82, I = 64
(1 -2 0), d = 3.979 Å, 2θ 22.34, I = 51
(0 1 -2), d = 4.655 Å, 2θ 19.07, I = 38



# 5
CsHg2Br4: theoretical powder X-ray diffraction pattern (Cu Kα (λ = 1.5418 Å)), based on DFT lattice parameters and positions (PBE).
Intensities are scaled so that the largest is 100.

Crystal structure
Cell: 7.209 8.433 10.372 Å, 105.11 104.81 92.57°
Space group P1 (No. 1)
Unique sites:
Cs: 0.000 0.000 0.000
Cs: 0.282 0.007 0.636
Hg: 0.409 0.577 0.806
Hg: 0.573 0.472 0.233
Hg: 0.637 0.004 0.308
Hg: 0.695 0.430 0.719
Br: 0.029 0.620 0.700
Br: 0.322 0.363 0.971
Br: 0.385 0.197 0.349
Br: 0.396 0.706 0.343
Br: 0.485 0.902 0.974
Br: 0.805 0.123 0.667
Br: 0.876 0.329 0.269
Br: 0.911 0.834 0.288

Largest 6 diffraction maxima, by intensity, 2θ from 15° to 90°:
(1 2 -2), d = 3.367 Å, 2θ 26.48, I = 100
(0 0 2), d = 4.810 Å, 2θ 18.44, I = 71
(0 1 -2), d = 4.769 Å, 2θ 18.60, I = 67
(-2 2 1), d = 2.709 Å, 2θ 33.07, I = 55
(0 1 -3), d = 3.321 Å, 2θ 26.85, I = 46
(1 0 2), d = 3.519 Å, 2θ 25.31, I = 42



# 6
CsHg2Br: theoretical powder X-ray diffraction pattern (Cu Kα (λ = 1.5418 Å)), based on DFT lattice parameters and positions (PBE).
Intensities are scaled so that the largest is 100.

Crystal structure
Cell: 7.161 5.597 8.637 Å, 90.00 94.79 90.00°
Space group P2_1 (No. 4)
Unique sites:
Cs: 0.240 0.000 0.368
Hg: 0.123 0.999 0.897
Hg: 0.372 0.498 0.029
Br: 0.259 0.500 0.622

Largest 6 diffraction maxima, by intensity, 2θ from 15° to 90°:
(0 1 2), d = 3.412 Å, 2θ 26.12, I = 100
(2 1 -1), d = 2.905 Å, 2θ 30.78, I = 71
(2 1 0), d = 3.007 Å, 2θ 29.71, I = 71
(0 2 0), d = 2.799 Å, 2θ 31.98, I = 49
(2 1 2), d = 2.388 Å, 2θ 37.67, I = 34
(1 0 -2), d = 3.834 Å, 2θ 23.20, I = 22



# 7
CsNaHg2Br6: theoretical powder X-ray diffraction pattern (Cu Kα (λ = 1.5418 Å)), based on DFT lattice parameters and positions (PBE).
Intensities are scaled so that the largest is 100.

Crystal structure
Cell: 7.704 7.705 9.569 Å, 90.00 66.26 60.01°
Space group P1 (No. 1)
Unique sites:
Cs: 0.000 0.000 0.000
Na: 0.000 0.500 0.500
Hg: 0.463 0.768 0.306
Hg: 0.538 0.231 0.693
Br: 0.155 0.735 0.287
Br: 0.179 0.559 0.711
Br: 0.448 0.111 0.288
Br: 0.552 0.890 0.711
Br: 0.824 0.442 0.287
Br: 0.848 0.263 0.711

Largest 6 diffraction maxima, by intensity, 2θ from 15° to 90°:
(1 1 -1), d = 4.602 Å, 2θ 19.29, I = 100
(2 1 0), d = 3.507 Å, 2θ 25.40, I = 65
(3 3 1), d = 2.224 Å, 2θ 40.56, I = 58
(2 3 -1), d = 2.344 Å, 2θ 38.40, I = 36
(1 0 -1), d = 4.044 Å, 2θ 21.98, I = 36
(0 0 2), d = 4.237 Å, 2θ 20.97, I = 36



# 8
Cs2NpHg3Br6: theoretical powder X-ray diffraction pattern (Cu Kα (λ = 1.5418 Å)), based on DFT lattice parameters and positions (PBE).
Intensities are scaled so that the largest is 100.

Crystal structure
Cell: 8.890 15.231 8.630 Å, 90.00 100.87 90.00°
Space group C2/m (No. 12)
Unique sites:
Cs: 0.000 0.165 0.000
Np: 0.000 0.500 0.000
Hg: 0.000 0.000 0.500
Hg: 0.000 0.238 0.500
Br: 0.165 0.370 0.186
Br: 0.220 0.500 0.809

Largest 6 diffraction maxima, by intensity, 2θ from 15° to 90°:
(1 3 1), d = 3.755 Å, 2θ 23.70, I = 100
(2 0 -2), d = 3.375 Å, 2θ 26.41, I = 99
(2 4 -1), d = 2.829 Å, 2θ 31.63, I = 81
(2 0 0), d = 4.365 Å, 2θ 20.34, I = 50
(0 0 2), d = 4.237 Å, 2θ 20.96, I = 42
(2 4 0), d = 2.871 Å, 2θ 31.15, I = 40



# 9
Cs3HgPb2Br9: theoretical powder X-ray diffraction pattern (Cu Kα (λ = 1.5418 Å)), based on DFT lattice parameters and positions (PBE).
Intensities are scaled so that the largest is 100.

Crystal structure
Cell: 8.3073 8.3073 10.2070 Å, 90.00 90.00 120.00°
Space group P-3m1 (No. 164)
Unique sites:
Cs: 0.0000 0.0000 0.0000
Cs: 0.3333 0.6667 0.6593
Hg: 0.0000 0.0000 0.5000
Pb: 0.3333 0.6667 0.1738
Br: 0.0000 0.5000 0.0000
Br: 0.1618 0.3237 0.3398

Largest 6 diffraction maxima, by intensity, 2θ from 15° to 90°:
(2 0 2), d = 2.940 Å, 2θ 30.40, I = 100
(1 1 0), d = 4.158 Å, 2θ 21.37, I = 88
(2 2 0), d = 2.079 Å, 2θ 43.53, I = 74
(1 0 1), d = 5.880 Å, 2θ 15.07, I = 37
(1 2 2), d = 2.402 Å, 2θ 37.45, I = 32
(2 1 1), d = 2.630 Å, 2θ 34.09, I = 21



# 10
Cs3Hg2PdBr9: theoretical powder X-ray diffraction pattern (Cu Kα (λ = 1.5418 Å)), based on DFT lattice parameters and positions (PBE).
Intensities are scaled so that the largest is 100.

Crystal structure
Cell: 7.8575 7.8575 9.6799 Å, 90.00 90.00 120.00°
Space group P-3m1 (No. 164)
Unique sites:
Cs: 0.0000 0.0000 0.0000
Cs: 0.3333 0.6667 0.6692
Hg: 0.3333 0.6667 0.1756
Pd: 0.0000 0.0000 0.5000
Br: 0.0000 0.5000 0.0000
Br: 0.1583 0.3166 0.3459

Largest 6 diffraction maxima, by intensity, 2θ from 15° to 90°:
(2 0 2), d = 2.783 Å, 2θ 32.16, I = 100
(1 1 0), d = 3.936 Å, 2θ 22.59, I = 78
(2 2 0), d = 1.964 Å, 2θ 46.21, I = 36
(0 2 4), d = 1.972 Å, 2θ 46.02, I = 35
(1 0 1), d = 5.567 Å, 2θ 15.92, I = 28
(3 0 0), d = 2.270 Å, 2θ 39.70, I = 27



# 11
Cs2PmHgBr6: theoretical powder X-ray diffraction pattern (Cu Kα (λ = 1.5418 Å)), based on DFT lattice parameters and positions (PBE).
Intensities are scaled so that the largest is 100.

Crystal structure
Cell: 8.401 11.849 8.415 Å, 90.00 90.00 90.00°
Space group Pmmn (No. 59, origin choice 2)
Unique sites:
Cs: 0.250 0.000 0.246
Pm: 0.250 0.250 0.753
Hg: 0.250 0.750 0.746
Br: 0.008 0.250 0.513
Br: 0.010 0.250 0.995
Br: 0.250 0.008 0.755

Largest 6 diffraction maxima, by intensity, 2θ from 15° to 90°:
(2 0 0), d = 4.199 Å, 2θ 21.16, I = 100
(2 0 2), d = 2.973 Å, 2θ 30.06, I = 86
(2 4 2), d = 2.098 Å, 2θ 43.11, I = 63
(2 4 0), d = 2.424 Å, 2θ 37.08, I = 48
(0 4 0), d = 2.962 Å, 2θ 30.17, I = 43
(2 2 0), d = 3.429 Å, 2θ 25.99, I = 35



# 12
Cs2Hg2PtBr4: theoretical powder X-ray diffraction pattern (Cu Kα (λ = 1.5418 Å)), based on DFT lattice parameters and positions (PBE).
Intensities are scaled so that the largest is 100.

Crystal structure
Cell: 8.207 8.207 9.899 Å, 90.00 90.00 90.00°
Space group I4/mmm (No. 139)
Unique sites:
Cs: 0.000 0.500 0.250
Hg: 0.000 0.000 0.178
Pt: 0.000 0.000 0.500
Br: 0.215 0.215 0.500

Largest 6 diffraction maxima, by intensity, 2θ from 15° to 90°:
(2 2 0), d = 2.902 Å, 2θ 30.82, I = 100
(1 0 3), d = 3.061 Å, 2θ 29.17, I = 79
(2 0 2), d = 3.159 Å, 2θ 28.25, I = 76
(2 0 0), d = 4.103 Å, 2θ 21.66, I = 57
(2 1 3), d = 2.454 Å, 2θ 36.62, I = 54
(3 2 3), d = 1.874 Å, 2θ 48.59, I = 53



# 13
Cs2ReHgBr6: theoretical powder X-ray diffraction pattern (Cu Kα (λ = 1.5418 Å)), based on DFT lattice parameters and positions (PBE).
Intensities are scaled so that the largest is 100.

Crystal structure
Cell: 11.669 11.669 11.669 Å, 90.00 90.00 90.00°
Space group Fm-3m (No. 225)
Unique sites:
Cs: 0.250 0.250 0.250
Re: 0.000 0.000 0.000
Hg: 0.000 0.000 0.500
Br: 0.000 0.000 0.218

Largest 6 diffraction maxima, by intensity, 2θ from 15° to 90°:
(2 2 0), d = 4.126 Å, 2θ 21.54, I = 100
(4 0 0), d = 2.917 Å, 2θ 30.65, I = 98
(4 4 0), d = 2.063 Å, 2θ 43.89, I = 66
(2 0 0), d = 5.835 Å, 2θ 15.19, I = 39
(4 2 2), d = 2.382 Å, 2θ 37.77, I = 39
(6 2 0), d = 1.845 Å, 2θ 49.40, I = 31